This entry pairs a crystal structure of Lu2MgOs with its simulated X-ray powder pattern. Radiation: Cu Kα (weighted mean of Kα1 and Kα2). Structure: a DFT-relaxed cell (GGA-PBE, OQMD).

Structure:
```
Lu2MgOs
1.0
4.9216 0.0000 0.0000
-2.4608 4.2622 0.0000
0.0000 0.0000 8.3702
Lu Mg Os
4 2 2
direct
0.3333 0.6667 0.0775
0.3333 0.6667 0.4225
0.6667 0.3333 0.5775
0.6667 0.3333 0.9225
0.0000 0.0000 0.2500
0.0000 0.0000 0.7500
0.3333 0.6667 0.7500
0.6667 0.3333 0.2500
```

Principal peaks in the range 2θ from 10° to 90°, in order of rising 2θ:
hkl 1 0 0, 2θ = 20.8°, I 65
hkl 1 1 0, 2θ = 36.5°, I 86
hkl 1 0 3, 2θ = 38.6°, I 100
hkl 2 0 3, 2θ = 54.2°, I 38
hkl 0 0 6, 2θ = 67.1°, I 45
hkl 1 1 6, 2θ = 78.9°, I 18